# 1
Calculated powder diffraction line list
Compound: NaZr2CuF11
Radiation: Cu Kα
Structure: a cell relaxed with GGA-PBE

Most intense lines, 2θ from 10° to 90°, in order of rising 2θ:
17.85 deg, intensity 242, hkl 0 1 -1
17.97 deg, intensity 202, hkl 1 0 0
18.14 deg, intensity 199, hkl 0 1 0
23.05 deg, intensity 1000, hkl 1 -1 1
26.10 deg, intensity 669, hkl 0 1 1
27.63 deg, intensity 519, hkl 1 1 -1
28.03 deg, intensity 396, hkl 1 0 -2
36.60 deg, intensity 209, hkl 0 1 -3
46.73 deg, intensity 221, hkl 1 2 0
47.10 deg, intensity 203, hkl 2 -2 2
47.51 deg, intensity 207, hkl -1 1 3
55.69 deg, intensity 253, hkl 1 -2 4

Structural model:
```
NaZr2CuF11
1.0
5.2889 0.0000 0.0000
-1.5428 5.2852 0.0000
-0.8954 -2.8040 6.8468
Na Zr Cu F
1 2 1 11
Cartesian
0.0000 0.0000 0.0000
1.4051 -0.6603 5.1941
1.4456 3.1415 1.6527
-1.2191 1.2406 3.4234
-1.2512 2.9831 4.8179
-0.3875 0.3023 4.8196
-0.1498 3.8610 0.7719
0.4892 1.5100 2.5282
1.4219 1.5690 0.2154
2.1968 -1.4020 3.4234
1.4288 0.9122 6.6315
2.3615 0.9712 4.3186
3.0005 -1.3797 6.0749
3.2382 2.1789 2.0272
4.1019 -0.5019 2.0289
```

=====

# 2
Calculated powder diffraction line list
Compound: RbTl3In3Au4
Radiation: Cu Kα
Structure: a cell relaxed with GGA-PBE

Most intense lines, 2θ from 10° to 90°, in order of rising 2θ:
12.28 deg, intensity 322, hkl 1 0 0
19.30 deg, intensity 222, hkl 0 0 1
28.94 deg, intensity 300, hkl 1 1 1
31.55 deg, intensity 941, hkl 2 0 1
32.89 deg, intensity 553, hkl 2 1 0
38.41 deg, intensity 1000, hkl 2 1 1
39.19 deg, intensity 421, hkl 0 0 2
42.46 deg, intensity 359, hkl 3 0 1
43.51 deg, intensity 286, hkl 2 2 0
52.06 deg, intensity 307, hkl 2 1 2
59.97 deg, intensity 222, hkl 2 2 2
68.19 deg, intensity 270, hkl 5 0 1

Structural model:
```
RbTl3In3Au4
1.0
8.3205 0.0000 0.0000
-4.1603 7.2058 0.0000
0.0000 0.0000 4.5980
Rb Tl In Au
1 3 3 4
Cartesian
0.0000 0.0000 0.0000
2.4121 1.3926 2.2990
5.9084 1.3926 2.2990
4.1603 4.4205 2.2990
-1.6500 3.8512 0.0000
1.6500 3.8512 0.0000
0.0000 6.7091 0.0000
0.0000 3.0685 2.2990
-1.5028 5.6715 2.2990
1.5028 5.6715 2.2990
4.1603 2.4019 0.0000
```